Entry 1:
Starting from a PBE-relaxed structure, the powder diffraction line list of Mg6CrSn was computed for Cu Kα.
Neutral-atom scattering factors, no anomalous dispersion.

Structure:
a = 5.040 Å, b = 6.216 Å, c = 11.004 Å
α = 90.00°, β = 90.00°, γ = 90.00°
Space group Amm2 (No. 38)
Unique sites:
Mg 0.000 0.000 0.000
Mg 0.000 0.000 0.494
Mg 0.000 0.241 0.248
Mg 0.500 0.250 0.081
Cr 0.500 0.000 0.331
Sn 0.500 0.000 0.832

Peak list (6 most intense, 15 to 90 degrees two-theta, low angle first)
- (0 0 2), d = 5.502 Å, intensity 36.8
- (1 0 0), d = 5.040 Å, intensity 29.8
- (0 2 2), d = 2.706 Å, intensity 33.1
- (2 0 0), d = 2.520 Å, intensity 37.6
- (1 0 4), d = 2.415 Å, intensity 52.7
- (1 2 2), d = 2.384 Å, intensity 100.0

Entry 2:
Starting from a PBE-relaxed structure, the powder diffraction line list of Zr4TaGe4 was computed for Cu Kα.
Neutral-atom scattering factors, no anomalous dispersion.

Structure:
a = 7.185 Å, b = 7.185 Å, c = 13.172 Å
α = 90.00°, β = 90.00°, γ = 90.00°
Space group P4_1 (No. 76)
Unique sites:
Zr 0.001 0.156 0.000
Zr 0.154 0.499 0.656
Zr 0.170 0.670 0.278
Zr 0.340 0.501 0.056
Ta 0.003 0.344 0.401
Ge 0.042 0.803 0.093
Ge 0.142 0.295 0.202
Ge 0.198 0.364 0.857
Ge 0.300 0.537 0.461

Peak list (6 most intense, 15 to 90 degrees two-theta, low angle first)
- (1 1 4), d = 2.763 Å, intensity 34.6
- (2 1 3), d = 2.593 Å, intensity 74.7
- (2 2 1), d = 2.494 Å, intensity 97.4
- (1 1 5), d = 2.339 Å, intensity 100.0
- (3 0 2), d = 2.251 Å, intensity 72.0
- (3 1 2), d = 2.148 Å, intensity 30.2

Entry 3:
Starting from a PBE-relaxed structure, the powder diffraction line list of Rb3RuF6 was computed for Cu Kα.
Neutral-atom scattering factors, no anomalous dispersion.

Structure:
a = 6.932 Å, b = 7.149 Å, c = 7.248 Å
α = 94.88°, β = 100.20°, γ = 108.30°
Space group P-1 (No. 2)
Unique sites:
Rb 0.000 0.000 0.000
Rb 0.000 0.500 0.500
Rb 0.500 0.000 0.500
Ru 0.000 0.000 0.500
F 0.065 0.813 0.307
F 0.186 0.920 0.707
F 0.239 0.229 0.456

Peak list (6 most intense, 15 to 90 degrees two-theta, low angle first)
- (0 0 2), d = 3.526 Å, intensity 100.0
- (0 2 0), d = 3.355 Å, intensity 80.0
- (2 0 0), d = 3.215 Å, intensity 88.0
- (2 -2 0), d = 2.846 Å, intensity 67.5
- (0 2 -2), d = 2.639 Å, intensity 61.2
- (-2 2 2), d = 2.286 Å, intensity 75.0

Entry 4:
Starting from a PBE-relaxed structure, the powder diffraction line list of PmTh3 was computed for Cu Kα.
Neutral-atom scattering factors, no anomalous dispersion.

Structure:
a = 5.066 Å, b = 5.066 Å, c = 5.066 Å
α = 90.00°, β = 90.00°, γ = 90.00°
Space group Pm-3m (No. 221)
Unique sites:
Pm 0.000 0.000 0.000
Th 0.000 0.500 0.500

Peak list (6 most intense, 15 to 90 degrees two-theta, low angle first)
- (1 1 1), d = 2.925 Å, intensity 100.0
- (2 0 0), d = 2.533 Å, intensity 51.0
- (2 2 0), d = 1.791 Å, intensity 37.0
- (3 1 1), d = 1.527 Å, intensity 44.5
- (3 3 1), d = 1.162 Å, intensity 18.7
- (4 2 0), d = 1.133 Å, intensity 17.5

Entry 5:
Starting from a PBE-relaxed structure, the powder diffraction line list of CeSe2 was computed for Cu Kα.
Neutral-atom scattering factors, no anomalous dispersion.

Structure:
a = 5.509 Å, b = 7.273 Å, c = 7.663 Å
α = 104.40°, β = 105.39°, γ = 107.70°
Space group P1 (No. 1)
Unique sites:
Ce 0.000 0.000 0.000
Ce 0.171 0.444 0.705
Ce 0.514 0.703 0.331
Se 0.054 0.830 0.306
Se 0.055 0.352 0.309
Se 0.437 0.349 0.015
Se 0.440 0.853 0.003
Se 0.725 0.596 0.678
Se 0.746 0.086 0.663

Peak list (6 most intense, 15 to 90 degrees two-theta, low angle first)
- (1 -1 0), d = 4.947 Å, intensity 100.0
- (0 1 1), d = 4.048 Å, intensity 70.2
- (0 1 -2), d = 3.631 Å, intensity 75.5
- (2 0 -1), d = 2.624 Å, intensity 76.2
- (1 -2 2), d = 2.572 Å, intensity 67.8
- (0 0 3), d = 2.299 Å, intensity 77.2

Entry 6:
Starting from a PBE-relaxed structure, the powder diffraction line list of HoB2Os was computed for Cu Kα.
Neutral-atom scattering factors, no anomalous dispersion.

Structure:
a = 5.895 Å, b = 5.317 Å, c = 6.363 Å
α = 90.00°, β = 90.00°, γ = 90.00°
Space group Pnma (No. 62)
Unique sites:
Ho 0.010 0.250 0.165
B 0.138 0.582 0.462
Os 0.176 0.250 0.681

Peak list (6 most intense, 15 to 90 degrees two-theta, low angle first)
- (0 0 2), d = 3.181 Å, intensity 31.2
- (0 2 0), d = 2.659 Å, intensity 67.4
- (2 1 0), d = 2.578 Å, intensity 28.0
- (1 1 2), d = 2.477 Å, intensity 82.9
- (2 1 1), d = 2.389 Å, intensity 100.0
- (2 3 1), d = 1.477 Å, intensity 40.5

Entry 7:
Starting from a PBE-relaxed structure, the powder diffraction line list of ZrVFe was computed for Cu Kα.
Neutral-atom scattering factors, no anomalous dispersion.

Structure:
a = 8.319 Å, b = 5.130 Å, c = 8.734 Å
α = 90.00°, β = 90.00°, γ = 90.00°
Space group Amm2 (No. 38)
Unique sites:
Zr 0.184 0.000 0.000
Zr 0.303 0.000 0.667
V 0.000 0.000 0.492
V 0.500 0.000 0.163
V 0.500 0.249 0.917
Fe 0.000 0.248 0.744
Fe 0.247 0.000 0.332

Peak list (6 most intense, 15 to 90 degrees two-theta, low angle first)
- (0 1 3), d = 2.532 Å, intensity 51.2
- (3 1 1), d = 2.350 Å, intensity 75.9
- (3 0 2), d = 2.341 Å, intensity 41.2
- (2 2 0), d = 2.183 Å, intensity 62.0
- (2 1 3), d = 2.163 Å, intensity 100.0
- (1 2 2), d = 2.137 Å, intensity 63.4

Entry 8:
Starting from a PBE-relaxed structure, the powder diffraction line list of Cs2AgSbF6 was computed for Cu Kα.
Neutral-atom scattering factors, no anomalous dispersion.

Structure:
a = 9.429 Å, b = 9.429 Å, c = 9.429 Å
α = 90.00°, β = 90.00°, γ = 90.00°
Space group Fm-3m (No. 225)
Unique sites:
Cs 0.250 0.250 0.250
Ag 0.000 0.000 0.000
Sb 0.000 0.000 0.500
F 0.000 0.000 0.265

Peak list (6 most intense, 15 to 90 degrees two-theta, low angle first)
- (2 2 0), d = 3.333 Å, intensity 100.0
- (4 0 0), d = 2.357 Å, intensity 34.5
- (4 2 2), d = 1.925 Å, intensity 41.6
- (4 4 0), d = 1.667 Å, intensity 22.1
- (6 2 0), d = 1.491 Å, intensity 18.9
- (6 4 2), d = 1.260 Å, intensity 21.6